Starting from the PBE geometry in Alexandria, the PXRD pattern of Ho2ReWN6 was calculated for λ = 1.5418 Å (Cu Kα).

Unit cell a=5.4071 b=5.6359 c=9.4303 alpha=90.00 beta=124.83 gamma=90.00
Atoms (fractional coordinates):
Ho: 0.2368 0.0625 0.2502
Ho: 0.2368 0.4375 0.7502
Ho: 0.7632 0.5625 0.2498
Ho: 0.7632 0.9375 0.7498
Re: 0.0000 0.0000 0.5000
Re: 0.0000 0.5000 0.0000
W: 0.5000 0.0000 0.0000
W: 0.5000 0.5000 0.5000
N: 0.1497 0.2035 0.9518
N: 0.1497 0.2965 0.4518
N: 0.2510 0.7010 0.9519
N: 0.2510 0.7990 0.4519
N: 0.3385 0.0212 0.7483
N: 0.3385 0.4788 0.2483
N: 0.6615 0.5212 0.7517
N: 0.6615 0.9788 0.2517
N: 0.7490 0.2010 0.5481
N: 0.7490 0.2990 0.0481
N: 0.8503 0.7035 0.5482
N: 0.8503 0.7965 0.0482

The 10 most intense peaks (10 to 80 degrees two-theta), low angle first:
2θ = 25.6°, intensity 7
2θ = 31.8°, intensity 22
2θ = 32.6°, intensity 100
2θ = 33.1°, intensity 25
2θ = 46.6°, intensity 19
2θ = 46.9°, intensity 12
2θ = 57.1°, intensity 12
2θ = 57.8°, intensity 9
2θ = 58.8°, intensity 16
2θ = 58.9°, intensity 10

=====

Starting from the PBE geometry in Alexandria, the PXRD pattern of Ta2AlV5Ga2 was calculated for λ = 1.5418 Å (Cu Kα).

Unit cell a=9.0925 b=9.0925 c=3.7049 alpha=90.00 beta=90.00 gamma=90.00
Atoms (fractional coordinates):
Ta: 0.1695 0.3305 0.0000
Ta: 0.3305 0.8305 0.0000
Ta: 0.6695 0.1695 0.0000
Ta: 0.8305 0.6695 0.0000
Al: 0.0000 0.0000 0.0000
Al: 0.5000 0.5000 0.0000
V: 0.0000 0.5000 0.5000
V: 0.0673 0.8044 0.5000
V: 0.1956 0.0673 0.5000
V: 0.3044 0.5673 0.5000
V: 0.4327 0.3044 0.5000
V: 0.5000 0.0000 0.5000
V: 0.5673 0.6956 0.5000
V: 0.6956 0.4327 0.5000
V: 0.8044 0.9327 0.5000
V: 0.9327 0.1956 0.5000
Ga: 0.1278 0.6278 0.0000
Ga: 0.3722 0.1278 0.0000
Ga: 0.6278 0.8722 0.0000
Ga: 0.8722 0.3722 0.0000

The 10 most intense peaks (10 to 80 degrees two-theta), low angle first:
2θ = 13.8°, intensity 26
2θ = 31.1°, intensity 39
2θ = 32.7°, intensity 42
2θ = 39.7°, intensity 100
2θ = 40.9°, intensity 46
2θ = 42.2°, intensity 33
2θ = 43.4°, intensity 21
2θ = 49.2°, intensity 40
2θ = 65.8°, intensity 24
2θ = 66.7°, intensity 26

=====

Starting from the PBE geometry in Alexandria, the PXRD pattern of BaSrMgSi2O7 was calculated for λ = 1.5418 Å (Cu Kα).

Unit cell a=5.3348 b=8.2159 c=8.2129 alpha=90.00 beta=90.89 gamma=90.00
Atoms (fractional coordinates):
Ba: 0.0130 0.0000 0.0876
Ba: 0.9870 0.5000 0.9124
Sr: 0.0046 0.3357 0.4161
Sr: 0.9954 0.8357 0.5839
Mg: 0.4980 0.1664 0.7475
Mg: 0.5020 0.6664 0.2525
Si: 0.4441 0.5290 0.6018
Si: 0.4556 0.8043 0.8766
Si: 0.5444 0.3043 0.1234
Si: 0.5559 0.0290 0.3982
O: 0.2406 0.3080 0.1271
O: 0.2520 0.0262 0.4040
O: 0.2959 0.5878 0.4345
O: 0.3111 0.9723 0.8192
O: 0.3117 0.3580 0.6617
O: 0.3346 0.7442 0.0499
O: 0.3473 0.6672 0.7396
O: 0.6527 0.1672 0.2604
O: 0.6654 0.2442 0.9501
O: 0.6883 0.8580 0.3383
O: 0.6889 0.4723 0.1808
O: 0.7041 0.0878 0.5655
O: 0.7480 0.5262 0.5960
O: 0.7594 0.8080 0.8729

The 10 most intense peaks (10 to 80 degrees two-theta), low angle first:
2θ = 15.3°, intensity 24
2θ = 21.6°, intensity 19
2θ = 24.2°, intensity 23
2θ = 27.4°, intensity 27
2θ = 29.4°, intensity 100
2θ = 29.6°, intensity 47
2θ = 29.7°, intensity 51
2θ = 34.5°, intensity 32
2θ = 45.5°, intensity 21
2θ = 46.9°, intensity 23

=====

Starting from the PBE geometry in Alexandria, the PXRD pattern of MgZn7Ag4 was calculated for λ = 1.5418 Å (Cu Kα).

Unit cell a=5.5100 b=5.5100 c=9.5461 alpha=112.96 beta=112.96 gamma=54.61
Atoms (fractional coordinates):
Mg: 0.0000 0.0000 0.0000
Zn: 0.1212 0.1212 0.4716
Zn: 0.2983 0.2983 0.0881
Zn: 0.3325 0.3325 0.3717
Zn: 0.5000 0.5000 0.0000
Zn: 0.6675 0.6675 0.6283
Zn: 0.7017 0.7017 0.9119
Zn: 0.8788 0.8788 0.5284
Ag: 0.1528 0.1528 0.7731
Ag: 0.4132 0.4132 0.6881
Ag: 0.5868 0.5868 0.3119
Ag: 0.8472 0.8472 0.2269

The 10 most intense peaks (10 to 80 degrees two-theta), low angle first:
2θ = 20.3°, intensity 13
2θ = 20.7°, intensity 21
2θ = 32.8°, intensity 20
2θ = 35.5°, intensity 91
2θ = 37.5°, intensity 76
2θ = 41.3°, intensity 100
2θ = 43.7°, intensity 75
2θ = 52.6°, intensity 41
2θ = 67.7°, intensity 21
2θ = 69.5°, intensity 18

=====

Starting from the PBE geometry in Alexandria, the PXRD pattern of TbPmTh2 was calculated for λ = 1.5418 Å (Cu Kα).

Unit cell a=5.0607 b=5.0862 c=10.1836 alpha=90.00 beta=90.13 gamma=90.00
Atoms (fractional coordinates):
Tb: 0.0006 0.2500 0.3675
Tb: 0.9994 0.7500 0.6325
Pm: 0.4993 0.2500 0.6324
Pm: 0.5007 0.7500 0.3676
Th: 0.0001 0.2500 0.8802
Th: 0.9999 0.7500 0.1198
Th: 0.5002 0.2500 0.1212
Th: 0.4998 0.7500 0.8788

The 10 most intense peaks (10 to 80 degrees two-theta), low angle first:
2θ = 30.5°, intensity 100
2θ = 35.3°, intensity 34
2θ = 35.5°, intensity 17
2θ = 50.8°, intensity 18
2θ = 50.9°, intensity 18
2θ = 60.3°, intensity 22
2θ = 60.4°, intensity 7
2θ = 60.6°, intensity 15
2θ = 63.4°, intensity 6
2θ = 63.5°, intensity 6